# 1
For CaHf2F2, a crystal structure in Alexandria, relaxed with GGA-PBE gives the simulated powder XRD pattern in this record (Cu Kα, 1.54184 Å).
Lines closer than 0.1° are merged.

Principal peaks in the range 10 to 90 degrees two-theta, by angle:
d [Å], 2θ (°), I_rel
8.413, 10.5, 28
4.206, 21.1, 15
3.287, 27.1, 25
2.877, 31.1, 100
2.804, 31.9, 15
2.370, 38.0, 25
2.065, 43.8, 19
1.953, 46.5, 18
1.810, 50.4, 26
1.448, 64.3, 25

```
CaHf2F2
1.0
-1.676 1.676 8.413
1.676 -1.676 8.413
1.676 1.676 -8.413
Ca Hf F
1 2 2
Cartesian
0.000 0.000 0.000 Ca
0.000 0.000 5.850 Hf
0.000 0.000 10.975 Hf
1.676 0.000 4.206 F
0.000 1.676 4.206 F
```

=====

# 2
For CaHfTlF7, a crystal structure in Alexandria, relaxed with GGA-PBE gives the simulated powder XRD pattern in this record (Cu Kα, 1.54184 Å).
Lines closer than 0.1° are merged.

Principal peaks in the range 10 to 90 degrees two-theta, by angle:
d [Å], 2θ (°), I_rel
4.874, 18.2, 36
3.476, 25.6, 100
3.415, 26.1, 46
3.306, 27.0, 54
2.437, 36.9, 30
2.146, 42.1, 18
2.008, 45.2, 21
1.973, 46.0, 19
1.919, 47.4, 26
1.800, 50.7, 19

```
CaHfTlF7
1.0
3.478 -5.637 0.000
3.478 5.637 0.000
0.000 0.000 8.585
Ca Hf Tl F
2 2 2 14
Cartesian
3.478 3.502 6.439 Ca
3.478 -3.502 2.146 Ca
3.478 3.454 2.146 Hf
3.478 -3.454 6.439 Hf
3.478 0.000 0.000 Tl
3.478 0.000 4.293 Tl
3.478 5.491 2.146 F
2.026 1.618 6.439 F
2.268 1.726 2.146 F
3.478 3.375 0.132 F
3.478 3.375 4.161 F
2.026 -1.618 2.146 F
2.268 -1.726 6.439 F
4.689 1.726 2.146 F
4.931 1.618 6.439 F
3.478 -3.375 4.424 F
3.478 -3.375 8.453 F
4.689 -1.726 6.439 F
4.931 -1.618 2.146 F
3.478 -5.491 6.439 F
```